Structure and simulated PXRD pattern of KLaTiSnO6 (a DFT-relaxed cell (GGA-PBE, the Materials Project); Cu Ka).
No peak broadening, texture or thermal motion is included.

Crystal structure
Unit cell a=5.682 b=5.682 c=5.682 alpha=60.00 beta=60.00 gamma=60.00
Sites, in units of the cell vectors:
1 K 0.000 0.000 0.000
2 La 0.500 0.500 0.500
3 Ti 0.750 0.750 0.750
4 Sn 0.250 0.250 0.250
5 O 0.506 0.506 0.994
6 O 0.506 0.994 0.506
7 O 0.506 0.994 0.994
8 O 0.994 0.506 0.506
9 O 0.994 0.506 0.994
10 O 0.994 0.994 0.506

Largest 10 diffraction maxima, sorted by position, 5° ≤ 2θ ≤ 70°:
Position (°2θ), I_rel
19.1, 31
31.5, 100
37.1, 20
38.8, 4
45.1, 36
49.4, 10
56.1, 39
59.8, 7
65.7, 21
69.2, 7